Diffraction record for TaP4S5Cl5. The powder X-ray diffraction pattern is computed, not measured: it uses DFT lattice parameters and positions (GGA-PBE) and copper Kα.
No peak broadening, texture or thermal motion is included.

```
30
Lattice="6.9310 0.0000 0.0000 -3.0941 10.1560 0.0000 -3.4230 -3.0406 12.8694" Properties=species:S:1:pos:R:3 pbc="T T T"
Ta -1.1647 1.3328 4.4292
Ta 1.5787 5.7827 8.4402
P -1.8044 -0.8248 11.6605
P 0.4677 7.0234 0.0400
P -0.1152 -1.6945 10.4223
P -0.5436 1.5325 9.7588
P 0.9575 5.5829 3.1106
P 0.5292 8.8100 2.4471
P -0.0537 0.0920 12.8294
P 2.2184 7.9403 1.2089
S -2.4252 0.7412 10.4666
S 0.0223 5.3019 1.2153
S -0.7601 8.6462 0.7992
S -3.0705 6.6117 9.6910
S 0.3279 -0.2512 8.9549
S 0.0861 7.3667 3.9145
S 3.4845 0.5038 3.1784
S 1.1740 -1.5307 12.0702
S 0.3917 1.8136 11.6541
S 2.8392 6.3743 2.4028
Cl -2.3830 1.1162 6.4079
Cl -2.2537 3.3792 4.0274
Cl -0.5334 -0.9110 4.5318
Cl -0.2410 1.4725 2.2472
Cl 0.7140 2.1605 5.4354
Cl -0.3000 4.9550 7.4340
Cl 0.6550 5.6430 10.6221
Cl 0.9474 8.0265 8.3376
Cl 2.6677 3.7363 8.8420
Cl 2.7970 5.9993 6.4615
```

Largest 10 diffraction maxima, sorted by position, 10° ≤ 2θ ≤ 90°:
- hkl 1 -1 0, 2θ = 13.81°, I 53.4
- hkl -1 1 1, 2θ = 14.42°, I 100.0
- hkl 0 1 -2, 2θ = 14.60°, I 92.9
- hkl 1 0 -2, 2θ = 16.40°, I 28.1
- hkl 1 0 1, 2θ = 17.46°, I 33.3
- hkl 0 2 0, 2θ = 17.95°, I 41.3
- hkl 1 1 -1, 2θ = 17.99°, I 37.4
- hkl 0 1 2, 2θ = 18.10°, I 28.9
- hkl 1 0 -3, 2θ = 21.15°, I 31.0
- hkl 2 0 1, 2θ = 31.20°, I 33.8